This entry pairs a crystal structure of InSi2Au with its computed X-ray powder pattern. Radiation: Cu Kα. Structure: the PBE geometry in Alexandria.
Peak positions follow from Bragg's law for the DFT cell and can differ from measured ones.

Main lines, by angle (2θ = 10–90°):
d = 4.399 Å, 2θ = 20.19°, intensity 474
d = 3.321 Å, 2θ = 26.85°, intensity 429
d = 2.631 Å, 2θ = 34.08°, intensity 346
d = 2.401 Å, 2θ = 37.46°, intensity 1000
d = 2.383 Å, 2θ = 37.75°, intensity 273
d = 2.062 Å, 2θ = 43.91°, intensity 236

Structural model:
```
InSi2Au
1.0
3.649 0.000 0.000
0.000 5.261 0.000
0.000 0.000 8.019
In Si Au
2 4 2
direct
0.000 0.000 0.000
0.500 0.500 0.500
0.000 0.000 0.476
0.000 0.500 0.778
0.500 0.000 0.278
0.500 0.500 0.976
0.000 0.500 0.215
0.500 0.000 0.715
```

This entry pairs a crystal structure of TmSc3Tl3Te8 with its computed X-ray powder pattern. Radiation: Cu Kα. Structure: the PBE geometry in Alexandria.
Peak positions follow from Bragg's law for the DFT cell and can differ from measured ones.

Main lines, by angle (2θ = 10–90°):
d = 7.006 Å, 2θ = 12.63°, intensity 151
d = 3.138 Å, 2θ = 28.45°, intensity 1000
d = 2.344 Å, 2θ = 38.39°, intensity 367
d = 2.111 Å, 2θ = 42.84°, intensity 348
d = 1.752 Å, 2θ = 52.22°, intensity 198
d = 1.348 Å, 2θ = 69.76°, intensity 150

Structural model:
```
TmSc3Tl3Te8
1.0
4.222 2.438 8.147
-4.222 2.438 8.147
0.000 -4.876 8.147
Tm Sc Tl Te
1 3 3 8
direct
0.000 0.000 0.000
0.000 0.500 0.500
0.500 0.000 0.500
0.500 0.500 0.000
0.000 0.000 0.500
0.000 0.500 0.000
0.500 0.000 0.000
0.242 0.242 0.725
0.242 0.725 0.242
0.265 0.265 0.265
0.275 0.758 0.758
0.725 0.242 0.242
0.735 0.735 0.735
0.758 0.275 0.758
0.758 0.758 0.275
```

This entry pairs a crystal structure of Ba2MgCu3Sn4 with its computed X-ray powder pattern. Radiation: Cu Kα. Structure: the PBE geometry in Alexandria.
Peak positions follow from Bragg's law for the DFT cell and can differ from measured ones.

Main lines, by angle (2θ = 10–90°):
d = 2.962 Å, 2θ = 30.17°, intensity 608
d = 2.875 Å, 2θ = 31.11°, intensity 1000
d = 2.352 Å, 2θ = 38.27°, intensity 665
d = 2.057 Å, 2θ = 44.02°, intensity 324
d = 1.842 Å, 2θ = 49.49°, intensity 303
d = 1.548 Å, 2θ = 59.72°, intensity 262

Structural model:
```
Ba2MgCu3Sn4
1.0
4.703 0.000 0.000
0.000 4.703 0.000
0.000 0.000 11.438
Ba Mg Cu Sn
2 1 3 4
direct
0.000 0.500 0.248
0.500 0.000 0.752
0.000 0.000 0.500
0.000 0.500 0.874
0.500 0.000 0.126
0.500 0.500 0.500
0.000 0.000 0.000
0.000 0.500 0.639
0.500 0.000 0.361
0.500 0.500 0.000
```

This entry pairs a crystal structure of SiBr2 with its computed X-ray powder pattern. Radiation: Cu Kα. Structure: the PBE geometry in Alexandria.
Peak positions follow from Bragg's law for the DFT cell and can differ from measured ones.

Main lines, by angle (2θ = 10–90°):
d = 5.675 Å, 2θ = 15.61°, intensity 659
d = 4.655 Å, 2θ = 19.06°, intensity 587
d = 3.683 Å, 2θ = 24.17°, intensity 781
d = 3.041 Å, 2θ = 29.37°, intensity 1000
d = 3.010 Å, 2θ = 29.68°, intensity 617
d = 2.035 Å, 2θ = 44.53°, intensity 463

Structural model:
```
SiBr2
1.0
8.112 0.000 0.000
0.000 9.311 0.000
-3.208 0.000 6.020
Si Br
4 8
direct
0.000 0.088 0.000
0.000 0.912 0.500
0.500 0.412 0.500
0.500 0.588 0.000
0.212 0.082 0.471
0.212 0.918 0.971
0.287 0.421 0.035
0.287 0.579 0.535
0.712 0.418 0.971
0.712 0.582 0.471
0.787 0.079 0.535
0.787 0.921 0.035
```

This entry pairs a crystal structure of In3Sb5O12 with its computed X-ray powder pattern. Radiation: Cu Kα. Structure: the PBE geometry in Alexandria.
Peak positions follow from Bragg's law for the DFT cell and can differ from measured ones.

Main lines, by angle (2θ = 10–90°):
d = 7.582 Å, 2θ = 11.67°, intensity 97
d = 3.095 Å, 2θ = 28.84°, intensity 1000
d = 2.681 Å, 2θ = 33.43°, intensity 329
d = 1.895 Å, 2θ = 48.00°, intensity 419
d = 1.616 Å, 2θ = 56.97°, intensity 356
d = 1.230 Å, 2θ = 77.63°, intensity 112

Structural model:
```
In3Sb5O12
1.0
-5.361 5.361 5.361
5.361 -5.361 5.361
5.361 5.361 -5.361
In Sb O
6 10 24
direct
0.250 0.500 0.750
0.250 0.750 0.500
0.500 0.250 0.750
0.500 0.750 0.250
0.750 0.250 0.500
0.750 0.500 0.250
0.000 0.000 0.484
0.000 0.284 0.284
0.000 0.484 0.000
0.000 0.716 0.716
0.284 0.000 0.284
0.284 0.284 0.000
0.484 0.000 0.000
0.516 0.516 0.516
0.716 0.000 0.716
0.716 0.716 0.000
0.000 0.298 0.505
0.000 0.505 0.298
0.000 0.524 0.798
0.000 0.798 0.524
0.202 0.202 0.726
0.202 0.726 0.202
0.207 0.702 0.702
0.274 0.476 0.476
0.298 0.000 0.505
0.298 0.505 0.000
0.476 0.274 0.476
0.476 0.476 0.274
0.495 0.495 0.793
0.495 0.793 0.495
0.505 0.000 0.298
0.505 0.298 0.000
0.524 0.000 0.798
0.524 0.798 0.000
0.702 0.207 0.702
0.702 0.702 0.207
0.726 0.202 0.202
0.793 0.495 0.495
0.798 0.000 0.524
0.798 0.524 0.000
```

This entry pairs a crystal structure of Sc2URh4 with its computed X-ray powder pattern. Radiation: Cu Kα. Structure: the PBE geometry in Alexandria.
Peak positions follow from Bragg's law for the DFT cell and can differ from measured ones.

Main lines, by angle (2θ = 10–90°):
d = 6.634 Å, 2θ = 13.35°, intensity 333
d = 3.657 Å, 2θ = 24.34°, intensity 316
d = 2.435 Å, 2θ = 36.91°, intensity 1000
d = 2.351 Å, 2θ = 38.28°, intensity 649
d = 2.206 Å, 2θ = 40.91°, intensity 255
d = 1.992 Å, 2θ = 45.55°, intensity 243

Structural model:
```
Sc2URh4
1.0
9.488 0.000 0.000
0.000 3.983 0.000
-1.601 0.000 6.634
Sc U Rh
4 2 8
direct
0.126 0.000 0.180
0.374 0.500 0.820
0.626 0.500 0.180
0.874 0.000 0.820
0.000 0.500 0.500
0.500 0.000 0.500
0.095 0.500 0.872
0.189 0.000 0.621
0.311 0.500 0.379
0.405 0.000 0.128
0.595 0.000 0.872
0.689 0.500 0.621
0.811 0.000 0.379
0.905 0.500 0.128
```

This entry pairs a crystal structure of Cd2Pd5Au2 with its computed X-ray powder pattern. Radiation: Cu Kα. Structure: the PBE geometry in Alexandria.
Peak positions follow from Bragg's law for the DFT cell and can differ from measured ones.

Main lines, by angle (2θ = 10–90°):
d = 2.475 Å, 2θ = 36.29°, intensity 488
d = 2.348 Å, 2θ = 38.33°, intensity 808
d = 2.263 Å, 2θ = 39.84°, intensity 498
d = 2.250 Å, 2θ = 40.08°, intensity 1000
d = 2.158 Å, 2θ = 41.86°, intensity 494
d = 2.138 Å, 2θ = 42.27°, intensity 414

Structural model:
```
Cd2Pd5Au2
1.0
4.979 0.000 0.000
2.484 4.323 0.000
0.827 1.519 7.044
Cd Pd Au
2 5 2
direct
0.169 0.169 0.001
0.831 0.831 0.999
0.161 0.397 0.332
0.495 0.725 0.331
0.500 0.500 0.000
0.505 0.275 0.669
0.839 0.603 0.668
0.180 0.937 0.664
0.820 0.063 0.336
```

This entry pairs a crystal structure of CsSmCuTe2 with its computed X-ray powder pattern. Radiation: Cu Kα. Structure: the PBE geometry in Alexandria.
Peak positions follow from Bragg's law for the DFT cell and can differ from measured ones.

Main lines, by angle (2θ = 10–90°):
d = 3.719 Å, 2θ = 23.93°, intensity 1000
d = 3.392 Å, 2θ = 26.28°, intensity 452
d = 3.215 Å, 2θ = 27.75°, intensity 313
d = 2.939 Å, 2θ = 30.41°, intensity 431
d = 2.928 Å, 2θ = 30.53°, intensity 318
d = 2.305 Å, 2θ = 39.07°, intensity 311

Structural model:
```
CsSmCuTe2
1.0
9.317 0.000 0.000
0.000 4.803 0.000
-1.237 0.000 8.582
Cs Sm Cu Te
2 2 2 4
direct
0.000 0.196 0.250
0.000 0.804 0.750
0.500 0.495 0.750
0.500 0.505 0.250
0.500 0.000 0.000
0.500 0.000 0.500
0.279 0.302 0.968
0.279 0.698 0.468
0.721 0.302 0.532
0.721 0.698 0.032
```

This entry pairs a crystal structure of NiSe with its computed X-ray powder pattern. Radiation: Cu Kα. Structure: the PBE geometry in Alexandria.
Peak positions follow from Bragg's law for the DFT cell and can differ from measured ones.

Main lines, by angle (2θ = 10–90°):
d = 7.368 Å, 2θ = 12.01°, intensity 494
d = 3.684 Å, 2θ = 24.16°, intensity 563
d = 2.640 Å, 2θ = 33.96°, intensity 331
d = 2.161 Å, 2θ = 41.81°, intensity 417
d = 2.134 Å, 2θ = 42.35°, intensity 1000
d = 1.747 Å, 2θ = 52.38°, intensity 265

Structural model:
```
NiSe
1.0
3.130 0.000 0.000
0.000 3.177 0.000
0.000 0.000 14.736
Ni Se
4 4
direct
0.000 0.250 0.070
0.000 0.750 0.930
0.500 0.250 0.430
0.500 0.750 0.570
0.000 0.250 0.629
0.000 0.750 0.371
0.500 0.250 0.871
0.500 0.750 0.129
```

This entry pairs a crystal structure of SmZrCu4 with its computed X-ray powder pattern. Radiation: Cu Kα. Structure: the PBE geometry in Alexandria.
Peak positions follow from Bragg's law for the DFT cell and can differ from measured ones.

Main lines, by angle (2θ = 10–90°):
d = 2.596 Å, 2θ = 34.56°, intensity 478
d = 2.214 Å, 2θ = 40.76°, intensity 1000
d = 2.119 Å, 2θ = 42.66°, intensity 238
d = 1.499 Å, 2θ = 61.92°, intensity 174
d = 1.413 Å, 2θ = 66.13°, intensity 302
d = 1.298 Å, 2θ = 72.88°, intensity 229

Structural model:
```
SmZrCu4
1.0
0.000 3.671 3.671
3.671 0.000 3.671
3.671 3.671 0.000
Sm Zr Cu
1 1 4
direct
0.000 0.000 0.000
0.750 0.750 0.750
0.376 0.376 0.376
0.376 0.376 0.872
0.376 0.872 0.376
0.872 0.376 0.376
```

What is the formula in the seventh record? Cd2Pd5Au2